[1]
Theoretical X-ray diffraction stick pattern of Tb2Pm2Pr5 for Cu Kα (weighted mean of Kα1 and Kα2), from DFT lattice parameters and positions (PBE).

Crystal structure
```
data_Tb2Pm2Pr5
_cell_length_a 16.812
_cell_length_b 6.000
_cell_length_c 6.442
_cell_angle_alpha 90.00
_cell_angle_beta 104.78
_cell_angle_gamma 90.00
_symmetry_space_group_name_H-M 'C 1 2/m 1'
_symmetry_Int_Tables_number 12
_symmetry_space_group_name_Hall '-C 2y'
loop_
_atom_site_label
_atom_site_type_symbol
_atom_site_fract_x
_atom_site_fract_y
_atom_site_fract_z
_atom_site_occupancy
Tb1 Tb 0.230 0.000 0.137 1
Pm1 Pm 0.061 0.500 0.750 1
Pr1 Pr 0.000 0.000 0.000 1
Pr2 Pr 0.124 0.000 0.578 1
Pr3 Pr 0.151 0.500 0.297 1
```

Principal peaks in the range 2θ = 5–70°, by angle:
d (Å), I (rel.)
3.065, 53
3.000, 59
2.852, 100
2.833, 93
2.144, 39
1.702, 22
1.698, 21
1.604, 19



[2]
Theoretical X-ray diffraction stick pattern of LaTm2AlPd4 for Cu Kα (weighted mean of Kα1 and Kα2), from DFT lattice parameters and positions (PBE).

Crystal structure
```
data_LaTm2AlPd4
_cell_length_a 4.7620
_cell_length_b 4.7620
_cell_length_c 25.2931
_cell_angle_alpha 90.00
_cell_angle_beta 90.00
_cell_angle_gamma 120.00
_symmetry_space_group_name_H-M 'R -3 m'
_symmetry_Int_Tables_number 166
_symmetry_space_group_name_Hall '-R 3 2"'
loop_
_atom_site_label
_atom_site_type_symbol
_atom_site_fract_x
_atom_site_fract_y
_atom_site_fract_z
_atom_site_occupancy
La1 La 0.0000 0.0000 0.0000 1
Tm1 Tm 0.0000 0.0000 0.2401 1
Al1 Al 0.0000 0.0000 0.5000 1
Pd1 Pd 0.0000 0.0000 0.1306 1
Pd2 Pd 0.0000 0.0000 0.3971 1
```

Principal peaks in the range 2θ = 5–70°, by angle:
d (Å), I (rel.)
4.216, 12
3.196, 24
2.509, 78
2.381, 100
2.008, 14
1.727, 25
1.398, 29
1.375, 20



[3]
Theoretical X-ray diffraction stick pattern of Rb9Au4Br2 for Cu Kα (weighted mean of Kα1 and Kα2), from DFT lattice parameters and positions (PBE).

Crystal structure
```
data_Rb9Au4Br2
_cell_length_a 14.958
_cell_length_b 8.637
_cell_length_c 24.507
_cell_angle_alpha 90.00
_cell_angle_beta 90.01
_cell_angle_gamma 90.00
_symmetry_space_group_name_H-M 'C 1 2/c 1'
_symmetry_Int_Tables_number 15
_symmetry_space_group_name_Hall '-C 2yc'
loop_
_atom_site_label
_atom_site_type_symbol
_atom_site_fract_x
_atom_site_fract_y
_atom_site_fract_z
_atom_site_occupancy
Rb1 Rb 0.000 0.188 0.250 1
Rb2 Rb 0.006 0.156 0.916 1
Rb3 Rb 0.156 0.343 0.750 1
Rb4 Rb 0.169 0.319 0.416 1
Rb5 Rb 0.175 0.338 0.084 1
Au1 Au 0.167 0.000 0.004 1
Au2 Au 0.167 0.000 0.325 1
Br1 Br 0.000 0.500 0.158 1
```

Principal peaks in the range 2θ = 5–70°, by angle:
d (Å), I (rel.)
6.384, 39
4.740, 30
4.318, 23
3.818, 51
2.967, 100
2.493, 53
1.909, 28
1.516, 26



[4]
Theoretical X-ray diffraction stick pattern of Ba2YCu3PbO7 for Cu Kα (weighted mean of Kα1 and Kα2), from DFT lattice parameters and positions (PBE).

Crystal structure
```
data_Ba2YCu3PbO7
_cell_length_a 28.835
_cell_length_b 3.878
_cell_length_c 3.898
_cell_angle_alpha 90.00
_cell_angle_beta 97.14
_cell_angle_gamma 90.00
_symmetry_space_group_name_H-M 'C 1 m 1'
_symmetry_Int_Tables_number 8
_symmetry_space_group_name_Hall 'C -2y'
loop_
_atom_site_label
_atom_site_type_symbol
_atom_site_fract_x
_atom_site_fract_y
_atom_site_fract_z
_atom_site_occupancy
Ba1 Ba 0.000 0.000 0.000 1
Ba2 Ba 0.240 0.500 0.761 1
Y1 Y 0.370 0.500 0.880 1
Cu1 Cu 0.082 0.500 0.606 1
Cu2 Cu 0.313 0.000 0.329 1
Cu3 Cu 0.428 0.000 0.433 1
Pb1 Pb 0.142 0.000 0.142 1
O1 O 0.019 0.500 0.506 1
O2 O 0.146 0.500 0.750 1
O3 O 0.220 0.000 0.245 1
O4 O 0.320 0.000 0.835 1
O5 O 0.320 0.500 0.335 1
O6 O 0.421 0.000 0.927 1
O7 O 0.421 0.500 0.427 1
```

Principal peaks in the range 2θ = 5–70°, by angle:
d (Å), I (rel.)
3.208, 21
2.836, 31
2.810, 100
2.749, 87
1.949, 21
1.939, 21
1.596, 27
1.374, 13



[5]
Theoretical X-ray diffraction stick pattern of PuSc3Pd4 for Cu Kα (weighted mean of Kα1 and Kα2), from DFT lattice parameters and positions (PBE).

Crystal structure
```
data_PuSc3Pd4
_cell_length_a 4.7213
_cell_length_b 4.7213
_cell_length_c 23.9491
_cell_angle_alpha 90.00
_cell_angle_beta 90.00
_cell_angle_gamma 120.00
_symmetry_space_group_name_H-M 'R -3 m'
_symmetry_Int_Tables_number 166
_symmetry_space_group_name_Hall '-R 3 2"'
loop_
_atom_site_label
_atom_site_type_symbol
_atom_site_fract_x
_atom_site_fract_y
_atom_site_fract_z
_atom_site_occupancy
Pu1 Pu 0.0000 0.0000 0.0000 1
Sc1 Sc 0.0000 0.0000 0.2477 1
Sc2 Sc 0.0000 0.0000 0.5000 1
Pd1 Pd 0.0000 0.0000 0.1298 1
Pd2 Pd 0.0000 0.0000 0.3855 1
```

Principal peaks in the range 2θ = 5–70°, by angle:
d (Å), I (rel.)
4.030, 19
3.869, 23
3.110, 22
2.624, 18
2.415, 97
2.361, 100
1.688, 32
1.373, 32



[6]
Theoretical X-ray diffraction stick pattern of TbZn2Pd3 for Cu Kα (weighted mean of Kα1 and Kα2), from DFT lattice parameters and positions (PBE).

Crystal structure
```
data_TbZn2Pd3
_cell_length_a 4.4132
_cell_length_b 4.4132
_cell_length_c 12.3435
_cell_angle_alpha 90.00
_cell_angle_beta 90.00
_cell_angle_gamma 120.00
_symmetry_space_group_name_H-M 'P 63/m m c'
_symmetry_Int_Tables_number 194
_symmetry_space_group_name_Hall '-P 6c 2c'
loop_
_atom_site_label
_atom_site_type_symbol
_atom_site_fract_x
_atom_site_fract_y
_atom_site_fract_z
_atom_site_occupancy
Tb1 Tb 0.0000 0.0000 0.2500 1
Zn1 Zn 0.3333 0.6667 0.0807 1
Pd1 Pd 0.0000 0.0000 0.0000 1
Pd2 Pd 0.3333 0.6667 0.6291 1
```

Principal peaks in the range 2θ = 5–70°, by angle:
d (Å), I (rel.)
3.822, 8
3.651, 11
3.249, 9
2.401, 100
2.207, 93
2.074, 19
1.625, 30
1.511, 7



[7]
Theoretical X-ray diffraction stick pattern of Th5UN6 for Cu Kα (weighted mean of Kα1 and Kα2), from DFT lattice parameters and positions (PBE).

Crystal structure
```
data_Th5UN6
_cell_length_a 6.278
_cell_length_b 10.844
_cell_length_c 6.263
_cell_angle_alpha 90.00
_cell_angle_beta 109.59
_cell_angle_gamma 90.00
_symmetry_space_group_name_H-M 'C 1 2/m 1'
_symmetry_Int_Tables_number 12
_symmetry_space_group_name_Hall '-C 2y'
loop_
_atom_site_label
_atom_site_type_symbol
_atom_site_fract_x
_atom_site_fract_y
_atom_site_fract_z
_atom_site_occupancy
Th1 Th 0.000 0.000 0.000 1
Th2 Th 0.000 0.166 0.500 1
Th3 Th 0.000 0.332 0.000 1
U1 U 0.000 0.500 0.500 1
N1 N 0.231 0.345 0.729 1
N2 N 0.233 0.500 0.259 1
```

Principal peaks in the range 2θ = 5–70°, by angle:
d (Å), I (rel.)
2.954, 100
2.558, 65
1.809, 31
1.807, 16
1.545, 12
1.542, 35
1.477, 12
1.475, 4